Entry 1:
Computed X-ray diffraction stick pattern
Compound: Sr3LiGa2
Radiation: copper Kα
Structure: the GGA-PBE geometry in Alexandria

Most intense lines, 2θ from 10° to 90°, by angle:
(hkl)	2θ/deg	I (rel.)
1 3 0	25.7	67
1 3 -2	27.9	47
2 0 -2	28.7	100
0 4 1	29.1	44
1 2 -3	29.5	68
1 1 2	29.6	50
2 0 0	30.7	60
1 4 -2	33.5	89
1 0 -4	34.6	48
2 3 -1	35.1	60

Structure:
```
data_Sr3LiGa2
_symmetry_space_group_name_H-M 'P 1 21/c 1'
_symmetry_Int_Tables_number 14
_cell_length_a 6.377
_cell_length_b 12.982
_cell_length_c 10.373
_cell_angle_alpha 90.00
_cell_angle_beta 114.12
_cell_angle_gamma 90.00
loop_
_symmetry_equiv_pos_as_xyz
'x,y,z'
'-x,-y,-z'
'-x,y+1/2,-z+1/2'
'x,-y+1/2,z+1/2'
loop_
_atom_site_label
_atom_site_fract_x
_atom_site_fract_y
_atom_site_fract_z
Sr1 0.090 0.203 0.285
Sr2 0.255 0.582 0.607
Sr3 0.265 0.590 0.014
Li1 0.453 0.157 0.089
Ga1 0.199 0.029 0.803
Ga2 0.303 0.151 0.617
```

Entry 2:
Computed X-ray diffraction stick pattern
Compound: PrHo2Sc4
Radiation: copper Kα
Structure: the GGA-PBE geometry in Alexandria

Most intense lines, 2θ from 10° to 90°, by angle:
(hkl)	2θ/deg	I (rel.)
1 0 0	15.5	40
1 0 -1	21.9	42
1 0 1	22.0	40
1 1 2	29.2	29
0 0 2	31.2	43
2 0 0	31.3	100
1 2 0	32.9	33
1 2 2	33.2	32
2 2 1	34.7	31
1 -1 1	35.2	76

Structure:
```
data_PrHo2Sc4
_symmetry_space_group_name_H-M 'P -1'
_symmetry_Int_Tables_number 2
_cell_length_a 6.196
_cell_length_b 6.200
_cell_length_c 6.496
_cell_angle_alpha 62.10
_cell_angle_beta 79.78
_cell_angle_gamma 67.10
loop_
_symmetry_equiv_pos_as_xyz
'x,y,z'
'-x,-y,-z'
loop_
_atom_site_label
_atom_site_fract_x
_atom_site_fract_y
_atom_site_fract_z
Pr1 0.000 0.000 0.000
Ho1 0.497 0.781 0.440
Sc1 0.000 0.303 0.394
Sc2 0.366 0.337 0.002
```

Entry 3:
Computed X-ray diffraction stick pattern
Compound: Y5Mg4Ru4
Radiation: copper Kα
Structure: the GGA-PBE geometry in Alexandria

Most intense lines, 2θ from 10° to 90°, by angle:
(hkl)	2θ/deg	I (rel.)
1 1 0	10.9	25
2 1 1	27.3	31
3 0 1	31.5	48
2 4 0	34.9	32
2 3 1	35.2	100
4 1 1	38.6	61
5 1 0	39.9	31
0 0 2	42.7	31
3 5 0	46.0	19
5 1 2	59.9	18

Structure:
```
data_Y5Mg4Ru4
_symmetry_space_group_name_H-M 'I 4/m'
_symmetry_Int_Tables_number 87
_symmetry_space_group_name_Hall '-I 4'
_cell_length_a 11.508
_cell_length_b 11.508
_cell_length_c 4.233
_cell_angle_alpha 90.00
_cell_angle_beta 90.00
_cell_angle_gamma 90.00
loop_
_atom_site_label
_atom_site_fract_x
_atom_site_fract_y
_atom_site_fract_z
Y1 0.000 0.000 0.000
Y2 0.130 0.205 0.500
Mg1 0.085 0.610 0.500
Ru1 0.060 0.760 0.000
```

Entry 4:
Computed X-ray diffraction stick pattern
Compound: Sr3Ca7Ag4
Radiation: copper Kα
Structure: the GGA-PBE geometry in Alexandria

Most intense lines, 2θ from 10° to 90°, by angle:
(hkl)	2θ/deg	I (rel.)
0 0 2	16.7	42
3 1 0	24.9	28
1 1 2	27.9	69
3 1 -3	28.8	58
3 1 1	28.9	24
5 1 -2	29.6	100
6 0 0	31.8	36
5 1 0	32.8	28
3 1 -4	34.5	66
0 2 0	38.9	64

Structure:
```
data_Sr3Ca7Ag4
_symmetry_space_group_name_H-M 'C 1 2/m 1'
_symmetry_Int_Tables_number 12
_cell_length_a 19.968
_cell_length_b 4.634
_cell_length_c 12.585
_cell_angle_alpha 90.00
_cell_angle_beta 122.38
_cell_angle_gamma 90.00
loop_
_symmetry_equiv_pos_as_xyz
'x,y,z'
'-x,-y,-z'
'-x,y,-z'
'x,-y,z'
'x+1/2,y+1/2,z'
'-x+1/2,-y+1/2,-z'
'-x+1/2,y+1/2,-z'
'x+1/2,-y+1/2,z'
loop_
_atom_site_label
_atom_site_fract_x
_atom_site_fract_y
_atom_site_fract_z
Sr1 0.000 0.000 0.000
Sr2 0.189 0.500 0.699
Ca1 0.000 0.000 0.500
Ca2 0.006 0.500 0.271
Ca3 0.170 0.000 0.427
Ca4 0.183 0.500 0.023
Ag1 0.120 0.000 0.819
Ag2 0.165 0.500 0.258
```

Entry 5:
Computed X-ray diffraction stick pattern
Compound: Mg5Tl4Pd
Radiation: copper Kα
Structure: the GGA-PBE geometry in Alexandria

Most intense lines, 2θ from 10° to 90°, by angle:
(hkl)	2θ/deg	I (rel.)
0 0 5	21.7	48
1 0 0	26.5	66
1 0 4	31.9	15
1 0 5	34.5	100
1 1 0	37.9	46
1 1 5	44.1	31
1 0 10	52.3	13
2 0 0	54.7	16
2 1 0	61.8	13
2 1 5	66.3	30

Structure:
```
data_Mg5Tl4Pd
_symmetry_space_group_name_H-M 'P 4/m m m'
_symmetry_Int_Tables_number 123
_symmetry_space_group_name_Hall '-P 4 2'
_cell_length_a 3.358
_cell_length_b 3.358
_cell_length_c 20.470
_cell_angle_alpha 90.00
_cell_angle_beta 90.00
_cell_angle_gamma 90.00
loop_
_atom_site_label
_atom_site_fract_x
_atom_site_fract_y
_atom_site_fract_z
Mg1 0.000 0.000 0.000
Mg2 0.000 0.000 0.212
Mg3 0.000 0.000 0.428
Tl1 0.500 0.500 0.106
Tl2 0.500 0.500 0.317
Pd1 0.500 0.500 0.500
```

Entry 6:
Computed X-ray diffraction stick pattern
Compound: Tb4SmSe5
Radiation: copper Kα
Structure: the GGA-PBE geometry in Alexandria

Most intense lines, 2θ from 10° to 90°, by angle:
(hkl)	2θ/deg	I (rel.)
1 0 5	26.6	30
0 0 10	30.7	50
1 1 0	30.8	100
1 1 10	44.0	73
2 0 0	44.1	37
2 0 10	54.7	38
2 2 0	64.2	12
1 1 20	72.5	15
3 1 0	72.8	33
3 1 10	81.1	25

Structure:
```
data_Tb4SmSe5
_symmetry_space_group_name_H-M 'I 4/m m m'
_symmetry_Int_Tables_number 139
_symmetry_space_group_name_Hall '-I 4 2'
_cell_length_a 4.105
_cell_length_b 4.105
_cell_length_c 29.163
_cell_angle_alpha 90.00
_cell_angle_beta 90.00
_cell_angle_gamma 90.00
loop_
_atom_site_label
_atom_site_fract_x
_atom_site_fract_y
_atom_site_fract_z
Tb1 0.000 0.000 0.098
Tb2 0.000 0.000 0.297
Sm1 0.000 0.000 0.500
Se1 0.000 0.000 0.000
Se2 0.000 0.000 0.198
Se3 0.000 0.000 0.398
```

Entry 7:
Computed X-ray diffraction stick pattern
Compound: Pm5Cd4Cu
Radiation: copper Kα
Structure: the GGA-PBE geometry in Alexandria

Most intense lines, 2θ from 10° to 90°, by angle:
(hkl)	2θ/deg	I (rel.)
1 0 5	33.3	100
1 1 0	33.9	51
0 0 10	47.0	8
2 0 0	48.7	18
1 1 10	59.2	15
2 1 5	60.3	35
2 0 10	70.0	9
2 2 0	71.3	6
3 0 5	81.0	7
3 1 0	81.4	8

Structure:
```
data_Pm5Cd4Cu
_symmetry_space_group_name_H-M 'P 4/m m m'
_symmetry_Int_Tables_number 123
_symmetry_space_group_name_Hall '-P 4 2'
_cell_length_a 3.740
_cell_length_b 3.740
_cell_length_c 19.350
_cell_angle_alpha 90.00
_cell_angle_beta 90.00
_cell_angle_gamma 90.00
loop_
_atom_site_label
_atom_site_fract_x
_atom_site_fract_y
_atom_site_fract_z
Pm1 0.000 0.000 0.000
Pm2 0.000 0.000 0.206
Pm3 0.000 0.000 0.413
Cd1 0.500 0.500 0.103
Cd2 0.500 0.500 0.308
Cu1 0.500 0.500 0.500
```

Entry 8:
Computed X-ray diffraction stick pattern
Compound: AcHfS
Radiation: copper Kα
Structure: the GGA-PBE geometry in Alexandria

Most intense lines, 2θ from 10° to 90°, by angle:
(hkl)	2θ/deg	I (rel.)
0 0 4	25.3	56
2 2 0	28.0	100
0 4 0	28.2	44
2 2 4	38.1	99
0 4 4	38.2	53
2 6 0	49.8	25
2 6 4	56.7	27
2 2 8	60.1	36
4 4 4	64.2	24
2 6 8	74.8	15

Structure:
```
data_AcHfS
_symmetry_space_group_name_H-M 'F d d d'
_symmetry_Int_Tables_number 70
_cell_length_a 7.363
_cell_length_b 12.660
_cell_length_c 14.091
_cell_angle_alpha 90.00
_cell_angle_beta 90.00
_cell_angle_gamma 90.00
loop_
_symmetry_equiv_pos_as_xyz
'x,y,z'
'-x,-y,-z'
'-x+1/4,-y+1/4,z'
'x+1/4,y+1/4,-z'
'x,-y+1/4,-z+1/4'
'-x,y+1/4,z+1/4'
'-x+1/4,y,-z+1/4'
'x+1/4,-y,z+1/4'
'x,y+1/2,z+1/2'
'-x,-y+1/2,-z+1/2'
'-x+1/4,-y+3/4,z+1/2'
'x+1/4,y+3/4,-z+1/2'
'x,-y+3/4,-z+3/4'
'-x,y+3/4,z+3/4'
'-x+1/4,y+1/2,-z+3/4'
'x+1/4,-y+1/2,z+3/4'
'x+1/2,y,z+1/2'
'-x+1/2,-y,-z+1/2'
'-x+3/4,-y+1/4,z+1/2'
'x+3/4,y+1/4,-z+1/2'
'x+1/2,-y+1/4,-z+3/4'
'-x+1/2,y+1/4,z+3/4'
'-x+3/4,y,-z+3/4'
'x+3/4,-y,z+3/4'
'x+1/2,y+1/2,z'
'-x+1/2,-y+1/2,-z'
'-x+3/4,-y+3/4,z'
'x+3/4,y+3/4,-z'
'x+1/2,-y+3/4,-z+1/4'
'-x+1/2,y+3/4,z+1/4'
'-x+3/4,y+1/2,-z+1/4'
'x+3/4,-y+1/2,z+1/4'
loop_
_atom_site_label
_atom_site_fract_x
_atom_site_fract_y
_atom_site_fract_z
Ac1 0.125 0.125 0.251
Hf1 0.125 0.125 0.501
S1 0.125 0.272 0.625
```

Entry 9:
Computed X-ray diffraction stick pattern
Compound: PaTiTcGe2
Radiation: copper Kα
Structure: the GGA-PBE geometry in Alexandria

Most intense lines, 2θ from 10° to 90°, by angle:
(hkl)	2θ/deg	I (rel.)
1 0 1	23.6	24
1 1 0	31.6	21
1 0 3	32.4	70
1 1 2	35.4	100
2 0 0	45.3	42
1 0 5	45.7	42
2 1 3	56.9	29
2 2 0	66.1	13
2 1 5	66.3	28
3 1 2	77.2	21

Structure:
```
data_PaTiTcGe2
_symmetry_space_group_name_H-M 'I -4 m 2'
_symmetry_Int_Tables_number 119
_symmetry_space_group_name_Hall 'I -4 -2'
_cell_length_a 4.000
_cell_length_b 4.000
_cell_length_c 11.439
_cell_angle_alpha 90.00
_cell_angle_beta 90.00
_cell_angle_gamma 90.00
loop_
_atom_site_label
_atom_site_fract_x
_atom_site_fract_y
_atom_site_fract_z
Pa1 0.000 0.000 0.000
Ti1 0.000 0.500 0.750
Tc1 0.000 0.500 0.250
Ge1 0.000 0.000 0.391
```

Entry 10:
Computed X-ray diffraction stick pattern
Compound: Sc3BiSe2
Radiation: copper Kα
Structure: the GGA-PBE geometry in Alexandria

Most intense lines, 2θ from 10° to 90°, by angle:
(hkl)	2θ/deg	I (rel.)
1 0 1	16.3	71
1 2 1	23.5	99
1 1 2	25.7	59
0 1 3	32.2	39
0 4 0	34.1	32
2 2 2	37.3	100
2 3 1	37.8	46
1 4 1	38.0	27
3 2 1	43.8	36
1 3 4	51.3	32

Structure:
```
data_Sc3BiSe2
_symmetry_space_group_name_H-M 'I m m a'
_symmetry_Int_Tables_number 74
_symmetry_space_group_name_Hall '-I 2b 2'
_cell_length_a 6.975
_cell_length_b 10.521
_cell_length_c 8.660
_cell_angle_alpha 90.00
_cell_angle_beta 90.00
_cell_angle_gamma 90.00
loop_
_atom_site_label
_atom_site_fract_x
_atom_site_fract_y
_atom_site_fract_z
Sc1 0.216 0.000 0.000
Sc2 0.250 0.250 0.250
Bi1 0.000 0.250 0.936
Se1 0.000 0.054 0.297
```

Entry 11:
Computed X-ray diffraction stick pattern
Compound: AcCd2InPd
Radiation: copper Kα
Structure: the GGA-PBE geometry in Alexandria

Most intense lines, 2θ from 10° to 90°, by angle:
(hkl)	2θ/deg	I (rel.)
1 0 3	28.6	58
1 1 2	31.8	100
0 1 5	39.7	53
0 2 0	40.9	27
2 0 0	41.1	22
1 2 3	50.7	17
1 2 5	58.3	11
2 1 5	58.4	13
2 2 0	59.4	17
1 3 2	68.8	14

Structure:
```
data_AcCd2InPd
_symmetry_space_group_name_H-M 'I m m 2'
_symmetry_Int_Tables_number 44
_cell_length_a 4.394
_cell_length_b 4.414
_cell_length_c 13.244
_cell_angle_alpha 90.00
_cell_angle_beta 90.00
_cell_angle_gamma 90.00
loop_
_symmetry_equiv_pos_as_xyz
'x,y,z'
'-x,-y,z'
'-x,y,z'
'x,-y,z'
'x+1/2,y+1/2,z+1/2'
'-x+1/2,-y+1/2,z+1/2'
'-x+1/2,y+1/2,z+1/2'
'x+1/2,-y+1/2,z+1/2'
loop_
_atom_site_label
_atom_site_fract_x
_atom_site_fract_y
_atom_site_fract_z
Ac1 0.000 0.000 0.000
Cd1 0.000 0.000 0.378
Cd2 0.000 0.500 0.228
In1 0.000 0.500 0.723
Pd1 0.000 0.000 0.586
```

Entry 12:
Computed X-ray diffraction stick pattern
Compound: Zr5Mo4
Radiation: copper Kα
Structure: the GGA-PBE geometry in Alexandria

Most intense lines, 2θ from 10° to 90°, by angle:
(hkl)	2θ/deg	I (rel.)
1 1 0	12.2	3
3 3 0	37.1	52
3 0 1	38.0	100
6 0 0	53.5	17
5 2 1	55.8	2
0 0 2	56.2	8
6 3 1	67.5	32
3 3 2	69.3	16
6 6 0	79.0	5
6 0 2	81.3	10

Structure:
```
data_Zr5Mo4
_symmetry_space_group_name_H-M 'I 4/m m m'
_symmetry_Int_Tables_number 139
_symmetry_space_group_name_Hall '-I 4 2'
_cell_length_a 10.279
_cell_length_b 10.279
_cell_length_c 3.271
_cell_angle_alpha 90.00
_cell_angle_beta 90.00
_cell_angle_gamma 90.00
loop_
_atom_site_label
_atom_site_fract_x
_atom_site_fract_y
_atom_site_fract_z
Zr1 0.000 0.000 0.000
Zr2 0.169 0.169 0.500
Mo1 0.000 0.350 0.000
```

Entry 13:
Computed X-ray diffraction stick pattern
Compound: La7In3
Radiation: copper Kα
Structure: the GGA-PBE geometry in Alexandria

Most intense lines, 2θ from 10° to 90°, by angle:
(hkl)	2θ/deg	I (rel.)
1 2 1	30.5	87
1 0 5	31.4	100
2 0 0	32.6	46
0 2 4	33.2	38
0 2 6	41.3	17
2 2 4	47.2	30
2 2 6	53.5	17
3 0 5	57.4	18
1 2 9	58.7	16
1 4 5	61.6	27

Structure:
```
data_La7In3
_symmetry_space_group_name_H-M 'I m m m'
_symmetry_Int_Tables_number 71
_symmetry_space_group_name_Hall '-I 2 2'
_cell_length_a 5.500
_cell_length_b 7.089
_cell_length_c 16.673
_cell_angle_alpha 90.00
_cell_angle_beta 90.00
_cell_angle_gamma 90.00
loop_
_atom_site_label
_atom_site_fract_x
_atom_site_fract_y
_atom_site_fract_z
La1 0.000 0.000 0.000
La2 0.000 0.228 0.397
La3 0.000 0.500 0.204
In1 0.000 0.000 0.197
In2 0.000 0.500 0.000
```